For LiAu4Se4Cl4O12, a structure optimized by DFT (GGA-PBE) gives the calculated powder X-ray diffraction pattern in this record (Cu Kα).
Intensities are scaled so that the largest is 1000.

Structure:
a = 4.4750 Å, b = 9.9340 Å, c = 11.3457 Å
α = 95.52°, β = 90.23°, γ = 90.03°
Space group P1 (No. 1)
Inequivalent atoms, fractional coordinates:
Li 0.0000 0.0000 0.0000 x1
Au 0.7817 0.2446 0.1410 x1
Au 0.7870 0.8342 0.4532 x1
Au 0.7995 0.2456 0.6397 x1
Au 0.8072 0.6562 0.8251 x1
Se 0.0109 0.9539 0.7199 x1
Se 0.0884 0.3614 0.9022 x1
Se 0.4985 0.1262 0.3814 x1
Se 0.5926 0.5343 0.5525 x1
Cl 0.0817 0.4366 0.1748 x1
Cl 0.1268 0.7564 0.9739 x1
Cl 0.4437 0.7589 0.3116 x1
Cl 0.5122 0.0349 0.0932 x1
O 0.1121 0.8975 0.5773 x1
O 0.1422 0.2821 0.7597 x1
O 0.4502 0.2059 0.5235 x1
O 0.4917 0.5884 0.6971 x1
O 0.6912 0.2562 0.3211 x1
O 0.7149 0.0659 0.7037 x1
O 0.7409 0.8434 0.7679 x1
O 0.7792 0.4641 0.8862 x1
O 0.8117 0.0223 0.3949 x1
O 0.8578 0.6504 0.5115 x1
O 0.8894 0.4235 0.5731 x1
O 0.9027 0.2237 0.9619 x1

Top 6 peaks for 2θ from 10° to 80°, in order of rising 2θ:
(0 1 1), 12.45°, I 647
(0 1 -2), 17.32°, I 596
(1 0 0), 19.84°, I 1000
(1 1 -2), 26.43°, I 738
(0 3 -1), 27.45°, I 581
(0 1 4), 33.81°, I 533